# 1
Ti8InCo3NiSn3: computed powder X-ray diffraction pattern (copper Kα), based on a crystal structure in the Materials Project, relaxed with PBE.

Most intense lines, 2θ from 10° to 80°, sorted by position:
hkl 0 0 12, 24.07°, I 11.2
hkl 0 1 8, 27.86°, I 12.6
hkl 1 1 0, 39.81°, I 100.0
hkl 0 1 20, 47.06°, I 7.2
hkl 2 0 8, 49.28°, I 3.6
hkl 0 2 16, 57.56°, I 15.7
hkl 1 0 28, 63.30°, I 3.6
hkl 1 2 8, 65.13°, I 4.7
hkl 3 0 0, 72.26°, I 30.5
hkl 0 2 28, 77.43°, I 3.1

Structure:
Unit cell a=4.5306 b=4.5306 c=44.3437 alpha=90.00 beta=90.00 gamma=120.00
Space group R3m (No. 160, hexagonal axes)
One atom of each set of equivalent atoms:
Ti 0.0000 0.0000 0.0000
Ti 0.0000 0.0000 0.1230
Ti 0.0000 0.0000 0.2474
Ti 0.0000 0.0000 0.3724
Ti 0.0000 0.0000 0.4987
Ti 0.0000 0.0000 0.6233
Ti 0.0000 0.0000 0.7483
Ti 0.0000 0.0000 0.8734
In 0.0000 0.0000 0.9367
Co 0.0000 0.0000 0.0625
Co 0.0000 0.0000 0.5636
Co 0.0000 0.0000 0.8090
Ni 0.0000 0.0000 0.3009
Sn 0.0000 0.0000 0.1851
Sn 0.0000 0.0000 0.4355
Sn 0.0000 0.0000 0.6857

***

# 2
PrInCo2: computed powder X-ray diffraction pattern (copper Kα), based on a crystal structure in the Materials Project, relaxed with PBE.

Most intense lines, 2θ from 10° to 80°, sorted by position:
hkl 1 1 1, 30.83°, I 100.0
hkl 2 0 0, 34.84°, I 27.5
hkl 0 0 3, 36.56°, I 28.2
hkl 1 1 2, 37.53°, I 63.8
hkl 2 0 2, 42.84°, I 20.1
hkl 2 1 1, 43.60°, I 17.5
hkl 0 2 0, 45.46°, I 28.1
hkl 1 1 3, 46.86°, I 19.3
hkl 3 1 1, 59.99°, I 18.1
hkl 3 1 2, 64.24°, I 24.3

Structure:
Unit cell a=5.150 b=3.991 c=7.373 alpha=90.00 beta=90.00 gamma=90.00
Space group Pmma (No. 51)
One atom of each set of equivalent atoms:
Pr 0.250 0.000 0.212
In 0.250 0.500 0.835
Co 0.000 0.500 0.500
Co 0.250 0.000 0.577

***

# 3
In2CoS4: computed powder X-ray diffraction pattern (copper Kα), based on a crystal structure in the Materials Project, relaxed with PBE.

Most intense lines, 2θ from 10° to 80°, sorted by position:
hkl 1 1 1, 14.46°, I 32.2
hkl 2 2 0, 23.72°, I 11.5
hkl 3 1 1, 27.89°, I 100.0
hkl 4 0 0, 33.79°, I 53.8
hkl 5 1 1, 44.36°, I 37.3
hkl 4 4 0, 48.54°, I 72.4
hkl 5 3 3, 56.91°, I 12.7
hkl 4 4 4, 60.45°, I 12.2
hkl 5 5 3, 67.85°, I 21.8
hkl 5 5 5, 77.99°, I 11.5

Structure:
Unit cell a=10.610 b=10.610 c=10.610 alpha=90.00 beta=90.00 gamma=90.00
Space group Fd-3m (No. 227, origin choice 2)
One atom of each set of equivalent atoms:
In 0.000 0.000 0.000
Co 0.125 0.125 0.625
S 0.001 0.001 0.249

***

# 4
In2Co3S2: computed powder X-ray diffraction pattern (copper Kα), based on a crystal structure in the Materials Project, relaxed with PBE.

Most intense lines, 2θ from 10° to 80°, sorted by position:
hkl 0 0 3, 19.52°, I 38.8
hkl 0 1 2, 23.26°, I 34.7
hkl 1 0 4, 32.64°, I 67.1
hkl 1 1 0, 33.61°, I 70.3
hkl 0 0 6, 39.61°, I 69.6
hkl 2 0 2, 41.27°, I 90.1
hkl 0 2 4, 47.55°, I 100.0
hkl 2 1 4, 59.48°, I 22.5
hkl 2 0 8, 68.38°, I 27.0
hkl 2 2 0, 70.65°, I 30.4

Structure:
Unit cell a=5.3332 b=5.3332 c=13.6428 alpha=90.00 beta=90.00 gamma=120.00
Space group R-3m (No. 166, hexagonal axes)
One atom of each set of equivalent atoms:
In 0.0000 0.0000 0.0000
In 0.0000 0.0000 0.5000
Co 0.0000 0.5000 0.0000
S 0.0000 0.0000 0.2229

***

# 5
In2CoSe4: computed powder X-ray diffraction pattern (copper Kα), based on a crystal structure in the Materials Project, relaxed with PBE.

Most intense lines, 2θ from 10° to 80°, sorted by position:
hkl 1 1 1, 13.88°, I 13.5
hkl 3 1 1, 26.76°, I 67.5
hkl 4 0 0, 32.41°, I 89.3
hkl 3 3 1, 35.41°, I 10.2
hkl 3 3 3, 42.52°, I 21.3
hkl 4 4 0, 46.50°, I 100.0
hkl 4 4 4, 57.82°, I 21.8
hkl 7 3 1, 64.82°, I 18.0
hkl 8 0 0, 67.87°, I 15.5
hkl 8 4 0, 77.23°, I 27.7

Structure:
Unit cell a=11.048 b=11.048 c=11.048 alpha=90.00 beta=90.00 gamma=90.00
Space group Fd-3m (No. 227, origin choice 2)
One atom of each set of equivalent atoms:
In 0.000 0.000 0.000
Co 0.125 0.125 0.625
Se 0.004 0.004 0.746

***

# 6
TbInCo2: computed powder X-ray diffraction pattern (copper Kα), based on a crystal structure in the Materials Project, relaxed with PBE.

Most intense lines, 2θ from 10° to 80°, sorted by position:
hkl 1 1 1, 31.04°, I 100.0
hkl 0 1 2, 33.48°, I 18.1
hkl 2 0 0, 35.60°, I 27.8
hkl 0 0 3, 37.67°, I 19.5
hkl 1 1 2, 38.06°, I 60.6
hkl 1 0 3, 41.86°, I 24.7
hkl 2 0 2, 43.91°, I 19.9
hkl 2 1 1, 44.22°, I 18.6
hkl 0 2 0, 45.03°, I 29.9
hkl 1 1 3, 47.82°, I 17.0

Structure:
Unit cell a=5.044 b=4.027 c=7.163 alpha=90.00 beta=90.00 gamma=90.00
Space group Pmma (No. 51)
One atom of each set of equivalent atoms:
Tb 0.250 0.000 0.221
In 0.250 0.500 0.849
Co 0.000 0.500 0.500
Co 0.250 0.000 0.589

***

# 7
Ti2InCo: computed powder X-ray diffraction pattern (copper Kα), based on a crystal structure in the Materials Project, relaxed with PBE.

Most intense lines, 2θ from 10° to 80°, sorted by position:
hkl 1 1 1, 24.25°, I 16.5
hkl 2 0 0, 28.08°, I 5.2
hkl 2 2 0, 40.13°, I 100.0
hkl 3 1 1, 47.44°, I 8.6
hkl 2 2 2, 49.69°, I 1.5
hkl 4 0 0, 58.05°, I 15.7
hkl 3 3 1, 63.84°, I 3.6
hkl 4 2 0, 65.70°, I 2.0
hkl 4 2 2, 72.91°, I 30.5
hkl 5 1 1, 78.14°, I 2.7

Structure:
Unit cell a=6.356 b=6.356 c=6.356 alpha=90.00 beta=90.00 gamma=90.00
Space group F-43m (No. 216)
One atom of each set of equivalent atoms:
Ti 0.000 0.000 0.000
Ti 0.250 0.250 0.250
In 0.000 0.000 0.500
Co 0.250 0.250 0.750